No. 1
The following is a theoretical XRD peak list of Sr2MnSi2O7. It was derived from the PBE+U geometry in the Materials Project, using a wavelength of 1.5418 Å.
Lines closer than 0.1° are merged.

Principal peaks in the range 2θ from 5° to 70°, in order of rising 2θ:
2θ 22.9, I = 18
2θ 27.6, I = 41
2θ 29.7, I = 100
2θ 34.5, I = 25
2θ 42.4, I = 22
2θ 45.4, I = 11
2θ 48.8, I = 15
2θ 49.5, I = 30
2θ 50.2, I = 13
2θ 63.4, I = 12

Crystal structure
```
data_Sr2MnSi2O7
_cell_length_a 8.231
_cell_length_b 8.231
_cell_length_c 5.225
_cell_angle_alpha 90.00
_cell_angle_beta 90.00
_cell_angle_gamma 90.00
_space_group_name_H-M_alt 'P 1'
_space_group_IT_number 1
_space_group_name_Hall 'P 1'
loop_
_atom_site_label
_atom_site_fract_x
_atom_site_fract_y
_atom_site_fract_z
Sr1 0.168 0.332 0.495
Sr2 0.332 0.832 0.505
Sr3 0.668 0.168 0.505
Sr4 0.832 0.668 0.495
Mn1 0.000 0.000 0.000
Mn2 0.500 0.500 0.000
Si1 0.137 0.637 0.941
Si2 0.363 0.137 0.059
Si3 0.637 0.863 0.059
Si4 0.863 0.363 0.941
O1 0.000 0.500 0.840
O2 0.078 0.803 0.792
O3 0.142 0.642 0.250
O4 0.197 0.078 0.208
O5 0.303 0.578 0.792
O6 0.358 0.142 0.750
O7 0.422 0.303 0.208
O8 0.500 0.000 0.160
O9 0.578 0.697 0.208
O10 0.642 0.858 0.750
O11 0.697 0.422 0.792
O12 0.803 0.922 0.208
O13 0.858 0.358 0.250
O14 0.922 0.197 0.792
```

=====

No. 2
The following is a theoretical XRD peak list of Li2TiCo3O8. It was derived from the PBE+U geometry in the Materials Project, using a wavelength of 1.5418 Å.
Lines closer than 0.1° are merged.

Principal peaks in the range 2θ from 5° to 70°, in order of rising 2θ:
2θ 18.3, I = 100
2θ 35.1, I = 34
2θ 36.2, I = 15
2θ 37.1, I = 9
2θ 42.4, I = 39
2θ 44.4, I = 17
2θ 56.2, I = 13
2θ 61.5, I = 6
2θ 63.0, I = 11
2θ 63.1, I = 11

Crystal structure
```
data_Li2TiCo3O8
_cell_length_a 8.520
_cell_length_b 8.520
_cell_length_c 8.167
_cell_angle_alpha 90.12
_cell_angle_beta 90.12
_cell_angle_gamma 90.09
_space_group_name_H-M_alt 'P 1'
_space_group_IT_number 1
_space_group_name_Hall 'P 1'
loop_
_atom_site_label
_atom_site_fract_x
_atom_site_fract_y
_atom_site_fract_z
Li1 0.121 0.622 0.631
Li2 0.125 0.125 0.119
Li3 0.372 0.374 0.871
Li4 0.378 0.879 0.369
Li5 0.621 0.127 0.621
Li6 0.626 0.628 0.129
Li7 0.873 0.379 0.379
Li8 0.875 0.875 0.881
Ti1 0.008 0.992 0.500
Ti2 0.246 0.489 0.242
Ti3 0.511 0.754 0.758
Ti4 0.736 0.264 0.000
Co1 0.000 0.504 0.998
Co2 0.249 0.006 0.753
Co3 0.251 0.749 0.000
Co4 0.253 0.258 0.508
Co5 0.495 0.505 0.500
Co6 0.496 0.000 0.002
Co7 0.503 0.251 0.256
Co8 0.742 0.747 0.492
Co9 0.749 0.497 0.744
Co10 0.751 0.005 0.252
Co11 0.994 0.751 0.247
Co12 0.995 0.249 0.748
O1 0.005 0.239 0.524
O2 0.007 0.019 0.739
O3 0.013 0.735 0.012
O4 0.020 0.510 0.244
O5 0.231 0.008 0.510
O6 0.240 0.512 0.009
O7 0.241 0.238 0.737
O8 0.242 0.739 0.223
O9 0.256 0.268 0.264
O10 0.261 0.758 0.777
O11 0.264 0.499 0.488
O12 0.265 0.987 0.988
O13 0.482 0.491 0.261
O14 0.487 0.271 0.492
O15 0.488 0.760 0.991
O16 0.489 0.980 0.756
O17 0.501 0.736 0.512
O18 0.509 0.518 0.739
O19 0.515 0.241 0.009
O20 0.520 0.020 0.244
O21 0.729 0.513 0.508
O22 0.732 0.744 0.736
O23 0.738 0.013 0.026
O24 0.743 0.246 0.237
O25 0.754 0.257 0.763
O26 0.759 0.485 0.991
O27 0.761 0.995 0.476
O28 0.762 0.759 0.263
O29 0.980 0.480 0.756
O30 0.981 0.993 0.261
O31 0.987 0.262 0.974
O32 0.992 0.769 0.490
```